Computed PXRD pattern of Ba2Ga6CoPd for Cu Kα, 1.54184 Å, from a DFT-relaxed cell (GGA-PBE, Alexandria).
No peak broadening, texture or thermal motion is included.

Top 10 peaks for 10 to 80 degrees two-theta, low angle first:
hkl	Position (°2θ)	Rel. int.
2 0 0	26.05	56.6
2 0 2	32.05	74.1
2 2 0	37.18	100.0
3 1 2	45.96	23.0
2 2 4	53.57	56.1
4 0 0	53.67	11.2
4 2 0	60.53	10.9
4 2 2	63.82	29.0
0 4 4	66.96	11.2
4 0 4	67.08	11.1

Structure:
```
data_Ba2Ga6CoPd
_chemical_formula_sum 'Ba4 Ga12 Co2 Pd2'
_cell_length_a 6.8309
_cell_length_b 6.8472
_cell_length_c 9.6783
_cell_angle_alpha 90.00
_cell_angle_beta 90.00
_cell_angle_gamma 90.00
_space_group_name_H-M_alt 'I m m m'
_space_group_IT_number 71
_space_group_name_Hall '-I 2 2'
loop_
_atom_site_label
_atom_site_type_symbol
_atom_site_fract_x
_atom_site_fract_y
_atom_site_fract_z
Ba1 Ba 0.0000 0.0000 0.2501
Ga1 Ga 0.0000 0.5000 0.2407
Ga2 Ga 0.2407 0.2591 0.0000
Co1 Co 0.0000 0.5000 0.0000
Pd1 Pd 0.0000 0.5000 0.5000
```